# 1
For NbCuP, a PBE-relaxed structure gives the theoretical X-ray diffraction stick pattern in this record (λ = 1.5418 Å (Cu Kα)).

Cell and atoms:
```
data_NbCuP
_chemical_formula_sum 'Nb4 Cu4 P4'
_cell_length_a 9.109
_cell_length_b 3.232
_cell_length_c 6.643
_cell_angle_alpha 90.00
_cell_angle_beta 117.49
_cell_angle_gamma 90.00
_space_group_name_H-M_alt 'P 1'
_space_group_IT_number 1
_space_group_name_Hall 'P 1'
loop_
_atom_site_label
_atom_site_type_symbol
_atom_site_fract_x
_atom_site_fract_y
_atom_site_fract_z
_atom_site_occupancy
Nb1 Nb 0.081 0.000 0.351 1
Nb2 Nb 0.419 0.500 0.649 1
Nb3 Nb 0.581 0.500 0.351 1
Nb4 Nb 0.919 0.000 0.649 1
Cu1 Cu 0.146 0.500 0.036 1
Cu2 Cu 0.354 0.000 0.964 1
Cu3 Cu 0.646 0.000 0.036 1
Cu4 Cu 0.854 0.500 0.964 1
P1 P 0.154 0.500 0.689 1
P2 P 0.346 0.000 0.311 1
P3 P 0.654 0.000 0.689 1
P4 P 0.846 0.500 0.311 1
```

The 10 most intense peaks (10° ≤ 2θ ≤ 90°), in order of rising 2θ:
2θ/deg, intensity
32.13, 36
35.83, 100
38.99, 84
40.77, 84
40.87, 36
43.75, 30
44.87, 23
46.21, 40
56.98, 27
63.41, 26

=====

# 2
For NbCuPd5, a PBE-relaxed structure gives the theoretical X-ray diffraction stick pattern in this record (λ = 1.5418 Å (Cu Kα)).

Cell and atoms:
```
data_NbCuPd5
_chemical_formula_sum 'Nb1 Cu1 Pd5'
_cell_length_a 4.065
_cell_length_b 4.065
_cell_length_c 6.796
_cell_angle_alpha 90.00
_cell_angle_beta 90.00
_cell_angle_gamma 90.00
_space_group_name_H-M_alt 'P 1'
_space_group_IT_number 1
_space_group_name_Hall 'P 1'
loop_
_atom_site_label
_atom_site_type_symbol
_atom_site_fract_x
_atom_site_fract_y
_atom_site_fract_z
_atom_site_occupancy
Nb1 Nb 0.000 0.000 0.000 1
Cu1 Cu 0.500 0.500 0.500 1
Pd1 Pd 0.000 0.500 0.274 1
Pd2 Pd 0.000 0.500 0.726 1
Pd3 Pd 0.500 0.000 0.274 1
Pd4 Pd 0.500 0.000 0.726 1
Pd5 Pd 0.500 0.500 0.000 1
```

The 10 most intense peaks (10° ≤ 2θ ≤ 90°), in order of rising 2θ:
2θ/deg, intensity
33.86, 15
39.79, 6
41.13, 100
44.58, 42
53.97, 9
61.27, 7
64.88, 13
72.51, 15
79.76, 27
89.27, 9

=====

# 3
For NbCu3Pd7, a PBE-relaxed structure gives the theoretical X-ray diffraction stick pattern in this record (λ = 1.5418 Å (Cu Kα)).

Cell and atoms:
```
data_NbCu3Pd7
_chemical_formula_sum 'Nb1 Cu3 Pd7'
_cell_length_a 6.351
_cell_length_b 6.351
_cell_length_c 4.922
_cell_angle_alpha 108.19
_cell_angle_beta 108.19
_cell_angle_gamma 92.05
_space_group_name_H-M_alt 'P 1'
_space_group_IT_number 1
_space_group_name_Hall 'P 1'
loop_
_atom_site_label
_atom_site_type_symbol
_atom_site_fract_x
_atom_site_fract_y
_atom_site_fract_z
_atom_site_occupancy
Nb1 Nb 0.000 0.000 0.000 1
Cu1 Cu 0.273 0.727 0.500 1
Cu2 Cu 0.500 0.500 0.000 1
Cu3 Cu 0.727 0.273 0.500 1
Pd1 Pd 0.000 0.000 0.500 1
Pd2 Pd 0.092 0.567 0.824 1
Pd3 Pd 0.316 0.316 0.422 1
Pd4 Pd 0.433 0.908 0.176 1
Pd5 Pd 0.567 0.092 0.824 1
Pd6 Pd 0.684 0.684 0.578 1
Pd7 Pd 0.908 0.433 0.176 1
```

The 10 most intense peaks (10° ≤ 2θ ≤ 90°), in order of rising 2θ:
2θ/deg, intensity
29.95, 19
32.38, 19
35.57, 28
36.80, 90
39.43, 85
41.99, 100
43.06, 21
45.67, 68
45.82, 33
55.03, 48

=====

# 4
For NbCu3Pd6, a PBE-relaxed structure gives the theoretical X-ray diffraction stick pattern in this record (λ = 1.5418 Å (Cu Kα)).

Cell and atoms:
```
data_NbCu3Pd6
_chemical_formula_sum 'Nb2 Cu6 Pd12'
_cell_length_a 6.756
_cell_length_b 6.756
_cell_length_c 6.756
_cell_angle_alpha 92.04
_cell_angle_beta 92.04
_cell_angle_gamma 92.04
_space_group_name_H-M_alt 'P 1'
_space_group_IT_number 1
_space_group_name_Hall 'P 1'
loop_
_atom_site_label
_atom_site_type_symbol
_atom_site_fract_x
_atom_site_fract_y
_atom_site_fract_z
_atom_site_occupancy
Nb1 Nb 0.000 0.000 0.000 1
Nb2 Nb 0.500 0.500 0.500 1
Cu1 Cu 0.234 0.622 0.745 1
Cu2 Cu 0.255 0.766 0.378 1
Cu3 Cu 0.378 0.255 0.766 1
Cu4 Cu 0.622 0.745 0.234 1
Cu5 Cu 0.745 0.234 0.622 1
Cu6 Cu 0.766 0.378 0.255 1
Pd1 Pd 0.011 0.346 0.875 1
Pd2 Pd 0.125 0.989 0.654 1
Pd3 Pd 0.126 0.355 0.452 1
Pd4 Pd 0.346 0.875 0.011 1
Pd5 Pd 0.355 0.452 0.126 1
Pd6 Pd 0.452 0.126 0.355 1
Pd7 Pd 0.548 0.874 0.645 1
Pd8 Pd 0.645 0.548 0.874 1
Pd9 Pd 0.654 0.125 0.989 1
Pd10 Pd 0.874 0.645 0.548 1
Pd11 Pd 0.875 0.011 0.346 1
Pd12 Pd 0.989 0.654 0.125 1
```

The 10 most intense peaks (10° ≤ 2θ ≤ 90°), in order of rising 2θ:
2θ/deg, intensity
30.05, 12
39.40, 100
40.09, 28
41.44, 26
41.87, 57
42.85, 59
45.63, 21
49.90, 13
71.83, 24
74.81, 12

=====

# 5
For NbCu2Pd4, a PBE-relaxed structure gives the theoretical X-ray diffraction stick pattern in this record (λ = 1.5418 Å (Cu Kα)).

Cell and atoms:
```
data_NbCu2Pd4
_chemical_formula_sum 'Nb2 Cu4 Pd8'
_cell_length_a 5.529
_cell_length_b 6.188
_cell_length_c 6.732
_cell_angle_alpha 111.21
_cell_angle_beta 91.39
_cell_angle_gamma 103.00
_space_group_name_H-M_alt 'P 1'
_space_group_IT_number 1
_space_group_name_Hall 'P 1'
loop_
_atom_site_label
_atom_site_type_symbol
_atom_site_fract_x
_atom_site_fract_y
_atom_site_fract_z
_atom_site_occupancy
Nb1 Nb 0.000 0.000 0.000 1
Nb2 Nb 0.417 0.702 0.581 1
Cu1 Cu 0.286 0.140 0.715 1
Cu2 Cu 0.577 0.282 0.437 1
Cu3 Cu 0.712 0.859 0.290 1
Cu4 Cu 0.777 0.144 0.708 1
Pd1 Pd 0.070 0.277 0.438 1
Pd2 Pd 0.142 0.575 0.862 1
Pd3 Pd 0.226 0.863 0.298 1
Pd4 Pd 0.368 0.427 0.154 1
Pd5 Pd 0.504 0.000 0.998 1
Pd6 Pd 0.641 0.567 0.859 1
Pd7 Pd 0.863 0.414 0.142 1
Pd8 Pd 0.914 0.726 0.575 1
```

The 10 most intense peaks (10° ≤ 2θ ≤ 90°), in order of rising 2θ:
2θ/deg, intensity
39.86, 51
40.05, 100
40.20, 50
45.97, 33
46.44, 32
47.28, 31
67.42, 20
81.22, 12
81.90, 11
86.44, 10

=====

# 6
For NbCu3Pt4, a PBE-relaxed structure gives the theoretical X-ray diffraction stick pattern in this record (λ = 1.5418 Å (Cu Kα)).

Cell and atoms:
```
data_NbCu3Pt4
_chemical_formula_sum 'Nb2 Cu6 Pt8'
_cell_length_a 8.961
_cell_length_b 5.620
_cell_length_c 4.658
_cell_angle_alpha 90.00
_cell_angle_beta 90.00
_cell_angle_gamma 90.00
_space_group_name_H-M_alt 'P 1'
_space_group_IT_number 1
_space_group_name_Hall 'P 1'
loop_
_atom_site_label
_atom_site_type_symbol
_atom_site_fract_x
_atom_site_fract_y
_atom_site_fract_z
_atom_site_occupancy
Nb1 Nb 0.000 0.000 0.000 1
Nb2 Nb 0.500 0.000 0.000 1
Cu1 Cu 0.000 0.500 0.000 1
Cu2 Cu 0.250 0.000 0.372 1
Cu3 Cu 0.250 0.500 0.367 1
Cu4 Cu 0.500 0.500 0.000 1
Cu5 Cu 0.750 0.000 0.628 1
Cu6 Cu 0.750 0.500 0.633 1
Pt1 Pt 0.000 0.254 0.500 1
Pt2 Pt 0.000 0.746 0.500 1
Pt3 Pt 0.250 0.257 0.873 1
Pt4 Pt 0.250 0.743 0.873 1
Pt5 Pt 0.500 0.254 0.500 1
Pt6 Pt 0.500 0.746 0.500 1
Pt7 Pt 0.750 0.257 0.127 1
Pt8 Pt 0.750 0.743 0.127 1
```

The 10 most intense peaks (10° ≤ 2θ ≤ 90°), in order of rising 2θ:
2θ/deg, intensity
27.62, 29
31.84, 14
38.72, 33
39.99, 20
40.26, 41
42.65, 100
43.81, 18
69.11, 13
74.83, 20
83.13, 21

=====

# 7
For NbCu2Pt8, a PBE-relaxed structure gives the theoretical X-ray diffraction stick pattern in this record (λ = 1.5418 Å (Cu Kα)).

Cell and atoms:
```
data_NbCu2Pt8
_chemical_formula_sum 'Nb1 Cu2 Pt8'
_cell_length_a 6.698
_cell_length_b 6.698
_cell_length_c 4.029
_cell_angle_alpha 90.00
_cell_angle_beta 90.00
_cell_angle_gamma 105.60
_space_group_name_H-M_alt 'P 1'
_space_group_IT_number 1
_space_group_name_Hall 'P 1'
loop_
_atom_site_label
_atom_site_type_symbol
_atom_site_fract_x
_atom_site_fract_y
_atom_site_fract_z
_atom_site_occupancy
Nb1 Nb 0.000 0.000 0.000 1
Cu1 Cu 0.386 0.614 0.500 1
Cu2 Cu 0.614 0.386 0.500 1
Pt1 Pt 0.044 0.308 0.500 1
Pt2 Pt 0.251 0.749 0.000 1
Pt3 Pt 0.308 0.044 0.500 1
Pt4 Pt 0.333 0.333 0.000 1
Pt5 Pt 0.667 0.667 0.000 1
Pt6 Pt 0.692 0.956 0.500 1
Pt7 Pt 0.749 0.251 0.000 1
Pt8 Pt 0.956 0.692 0.500 1
```

The 10 most intense peaks (10° ≤ 2θ ≤ 90°), in order of rising 2θ:
2θ/deg, intensity
27.67, 16
31.32, 21
35.66, 24
40.55, 100
41.13, 67
42.02, 35
45.00, 34
63.25, 21
75.40, 14
83.84, 21

=====

# 8
For NbCuPt2, a PBE-relaxed structure gives the theoretical X-ray diffraction stick pattern in this record (λ = 1.5418 Å (Cu Kα)).

Cell and atoms:
```
data_NbCuPt2
_chemical_formula_sum 'Nb2 Cu2 Pt4'
_cell_length_a 4.602
_cell_length_b 5.542
_cell_length_c 4.789
_cell_angle_alpha 90.00
_cell_angle_beta 90.00
_cell_angle_gamma 90.00
_space_group_name_H-M_alt 'P 1'
_space_group_IT_number 1
_space_group_name_Hall 'P 1'
loop_
_atom_site_label
_atom_site_type_symbol
_atom_site_fract_x
_atom_site_fract_y
_atom_site_fract_z
_atom_site_occupancy
Nb1 Nb 0.250 0.250 0.159 1
Nb2 Nb 0.750 0.750 0.841 1
Cu1 Cu 0.250 0.750 0.177 1
Cu2 Cu 0.750 0.250 0.823 1
Pt1 Pt 0.250 0.502 0.680 1
Pt2 Pt 0.250 0.998 0.680 1
Pt3 Pt 0.750 0.002 0.320 1
Pt4 Pt 0.750 0.498 0.320 1
```

The 10 most intense peaks (10° ≤ 2θ ≤ 90°), in order of rising 2θ:
2θ/deg, intensity
26.87, 20
32.31, 7
37.53, 24
39.15, 28
42.52, 100
55.35, 16
67.74, 11
73.26, 20
81.12, 13
83.26, 8